1.
Fe3O4: simulated X-ray powder pattern (Cu Kα), based on a DFT-relaxed cell (GGA+U, Alexandria).
Peak positions follow from Bragg's law for the DFT cell and can differ from measured ones.

Top 10 peaks for 2θ = 10–80°, low angle first:
2theta  intensity
30.90  62
31.11  100
35.63  23
40.14  45
40.45  31
48.13  36
61.20  19
61.32  44
61.97  20
70.42  17

Cell lengths 10.0797, 10.5005, 3.0209 Å; angles 90.00, 90.00, 90.00 degrees
Sites, in units of the cell vectors:
Fe 0.1250 0.2500 0.0018
Fe 0.1312 0.5726 0.0007
Fe 0.1312 0.9274 0.0007
Fe 0.3688 0.0726 0.5007
Fe 0.3688 0.4274 0.5007
Fe 0.3750 0.7500 0.5018
Fe 0.6250 0.2500 0.4982
Fe 0.6312 0.5726 0.4993
Fe 0.6312 0.9274 0.4993
Fe 0.8688 0.0726 0.9993
Fe 0.8688 0.4274 0.9993
Fe 0.8750 0.7500 0.9982
O 0.0000 0.0000 0.5000
O 0.0000 0.5000 0.5000
O 0.0650 0.7500 0.0002
O 0.2384 0.1008 0.0007
O 0.2384 0.3992 0.0007
O 0.2616 0.6008 0.5007
O 0.2616 0.8992 0.5007
O 0.4350 0.2500 0.5002
O 0.5000 0.0000 0.0000
O 0.5000 0.5000 0.0000
O 0.5650 0.7500 0.4998
O 0.7384 0.1008 0.4993
O 0.7384 0.3992 0.4993
O 0.7616 0.6008 0.9993
O 0.7616 0.8992 0.9993
O 0.9350 0.2500 0.9998

---

2.
Fe15O16: simulated X-ray powder pattern (Cu Kα), based on a DFT-relaxed cell (GGA+U, Alexandria).
Peak positions follow from Bragg's law for the DFT cell and can differ from measured ones.

Top 10 peaks for 2θ = 10–80°, low angle first:
2theta  intensity
30.04  14
33.77  23
35.04  21
35.33  42
39.21  17
40.94  100
59.09  39
59.47  45
70.93  16
74.73  13

Cell lengths 10.8532, 10.8532, 10.8532 Å; angles 33.29, 33.29, 33.29 degrees
Sites, in units of the cell vectors:
Fe 0.0000 0.0000 0.0000
Fe 0.0000 0.5000 0.5000
Fe 0.1782 0.1782 0.1782
Fe 0.2497 0.7481 0.7481
Fe 0.2519 0.2519 0.7503
Fe 0.2519 0.7503 0.2519
Fe 0.2569 0.2569 0.2569
Fe 0.5000 0.0000 0.5000
Fe 0.5000 0.5000 0.0000
Fe 0.5000 0.5000 0.5000
Fe 0.7431 0.7431 0.7431
Fe 0.7481 0.2497 0.7481
Fe 0.7481 0.7481 0.2497
Fe 0.7503 0.2519 0.2519
Fe 0.8218 0.8218 0.8218
O 0.1129 0.6312 0.6312
O 0.1164 0.1164 0.1164
O 0.1297 0.1297 0.6229
O 0.1297 0.6229 0.1297
O 0.3688 0.3688 0.8871
O 0.3688 0.8871 0.3688
O 0.3771 0.8703 0.8703
O 0.3802 0.3802 0.3802
O 0.6198 0.6198 0.6198
O 0.6229 0.1297 0.1297
O 0.6312 0.1129 0.6312
O 0.6312 0.6312 0.1129
O 0.8703 0.3771 0.8703
O 0.8703 0.8703 0.3771
O 0.8836 0.8836 0.8836
O 0.8871 0.3688 0.3688